[1]
This entry pairs a crystal structure of Na2PH11O8 with its computed powder X-ray diffraction pattern. Radiation: copper Kα. Structure: a crystal structure in the Materials Project, relaxed with GGA-PBE.

Structure:
```
data_Na2PH11O8
_space_group_name_H-M_alt 'P m n 21'
_space_group_IT_number 31
_space_group_name_Hall 'P 2ac -2'
_cell_length_a 7.1734
_cell_length_b 6.4387
_cell_length_c 9.3105
_cell_angle_alpha 90.00
_cell_angle_beta 90.00
_cell_angle_gamma 90.00
loop_
_atom_site_label
_atom_site_fract_x
_atom_site_fract_y
_atom_site_fract_z
Na1 0.0000 0.0024 0.0000
Na2 0.0000 0.9608 0.5758
P1 0.0000 0.3531 0.3454
H1 0.0000 0.3983 0.4948
H2 0.1115 0.6863 0.8038
H3 0.1659 0.9515 0.2419
H4 0.2086 0.3518 0.0992
H5 0.2137 0.7179 0.2068
H6 0.2472 0.3661 0.9321
O1 0.0000 0.1155 0.3318
O2 0.0000 0.7776 0.8071
O3 0.1795 0.4552 0.2844
O4 0.2303 0.2673 0.0120
O5 0.2320 0.8614 0.1721
```

Top 10 peaks for 10° ≤ 2θ ≤ 90°, sorted by position:
| two_theta | Rel. int. | (hkl) |
| --- | --- | --- |
| 15.59 | 58 | 1 0 1 |
| 16.74 | 51 | 0 1 1 |
| 20.85 | 39 | 1 1 1 |
| 23.58 | 78 | 0 1 2 |
| 30.09 | 100 | 2 1 1 |
| 31.45 | 53 | 2 0 2 |
| 32.01 | 98 | 0 1 3 |
| 38.83 | 33 | 2 2 1 |
| 42.42 | 82 | 2 2 2 |
| 46.55 | 30 | 2 0 4 |

=====

[2]
This entry pairs a crystal structure of SrBi3Br3O4 with its computed powder X-ray diffraction pattern. Radiation: copper Kα. Structure: a crystal structure in the Materials Project, relaxed with GGA-PBE.

Structure:
```
data_SrBi3Br3O4
_space_group_name_H-M_alt 'I 4 m m'
_space_group_IT_number 107
_space_group_name_Hall 'I 4 -2'
_cell_length_a 4.0021
_cell_length_b 4.0021
_cell_length_c 29.9180
_cell_angle_alpha 90.00
_cell_angle_beta 90.00
_cell_angle_gamma 90.00
loop_
_atom_site_label
_atom_site_fract_x
_atom_site_fract_y
_atom_site_fract_z
Sr1 0.0000 0.0000 0.0000
Bi1 0.0000 0.0000 0.2707
Bi2 0.0000 0.0000 0.4173
Bi3 0.0000 0.0000 0.6871
Br1 0.0000 0.0000 0.1395
Br2 0.0000 0.0000 0.5539
Br3 0.0000 0.0000 0.8279
O1 0.0000 0.5000 0.2306
O2 0.0000 0.5000 0.4498
```

Top 10 peaks for 10° ≤ 2θ ≤ 90°, sorted by position:
| two_theta | Rel. int. | (hkl) |
| --- | --- | --- |
| 11.83 | 16 | 0 0 4 |
| 26.80 | 12 | 1 0 5 |
| 30.60 | 100 | 1 0 7 |
| 31.62 | 47 | 1 1 0 |
| 39.95 | 14 | 1 1 8 |
| 45.32 | 23 | 2 0 0 |
| 51.16 | 16 | 1 0 15 |
| 53.75 | 14 | 1 1 14 |
| 55.68 | 38 | 2 1 7 |
| 70.72 | 11 | 2 1 15 |

=====

[3]
This entry pairs a crystal structure of CsMnC3N3 with its computed powder X-ray diffraction pattern. Radiation: copper Kα. Structure: a crystal structure in the Materials Project, relaxed with GGA-PBE.

Structure:
```
data_CsMnC3N3
_space_group_name_H-M_alt 'F m -3 m'
_space_group_IT_number 225
_space_group_name_Hall '-F 4 2 3'
_cell_length_a 10.1087
_cell_length_b 10.1087
_cell_length_c 10.1087
_cell_angle_alpha 90.00
_cell_angle_beta 90.00
_cell_angle_gamma 90.00
loop_
_atom_site_label
_atom_site_fract_x
_atom_site_fract_y
_atom_site_fract_z
Cs1 0.2500 0.2500 0.2500
Mn1 0.0000 0.0000 0.0000
Mn2 0.0000 0.0000 0.5000
C1 0.0000 0.0000 0.1901
N1 0.0000 0.0000 0.3075
```

Top 10 peaks for 10° ≤ 2θ ≤ 90°, sorted by position:
| two_theta | Rel. int. | (hkl) |
| --- | --- | --- |
| 24.91 | 100 | 2 2 0 |
| 30.64 | 22 | 2 2 2 |
| 35.52 | 36 | 4 0 0 |
| 39.88 | 8 | 4 2 0 |
| 43.88 | 34 | 4 2 2 |
| 51.11 | 20 | 4 4 0 |
| 57.68 | 25 | 6 2 0 |
| 69.60 | 24 | 6 4 2 |
| 80.65 | 10 | 6 6 0 |
| 86.02 | 7 | 8 4 0 |

=====

[4]
This entry pairs a crystal structure of Ba4MgCu4O8 with its computed powder X-ray diffraction pattern. Radiation: copper Kα. Structure: a crystal structure in the Materials Project, relaxed with GGA-PBE.

Structure:
```
data_Ba4MgCu4O8
_space_group_name_H-M_alt 'P 1'
_space_group_IT_number 1
_space_group_name_Hall 'P 1'
_cell_length_a 3.9070
_cell_length_b 6.2277
_cell_length_c 15.2625
_cell_angle_alpha 83.83
_cell_angle_beta 88.65
_cell_angle_gamma 80.47
loop_
_atom_site_label
_atom_site_fract_x
_atom_site_fract_y
_atom_site_fract_z
Ba1 0.0000 0.0000 0.0000
Ba2 0.0797 0.8643 0.6248
Ba3 0.1904 0.5994 0.3981
Ba4 0.8904 0.2649 0.2267
Mg1 0.5393 0.9317 0.8125
Cu1 0.5170 0.0170 0.4292
Cu2 0.5384 0.5018 0.8862
Cu3 0.5388 0.3617 0.7388
Cu4 0.5633 0.8472 0.1956
O1 0.3840 0.2249 0.3419
O2 0.4546 0.0862 0.1165
O3 0.5288 0.6494 0.7559
O4 0.5363 0.0974 0.6951
O5 0.5433 0.7657 0.9299
O6 0.5466 0.2141 0.8694
O7 0.6257 0.7780 0.5083
O8 0.6969 0.6395 0.2828
```

Top 10 peaks for 10° ≤ 2θ ≤ 90°, sorted by position:
| two_theta | Rel. int. | (hkl) |
| --- | --- | --- |
| 19.59 | 100 | 0 1 -2 |
| 25.87 | 52 | 1 0 2 |
| 26.30 | 76 | 1 1 -1 |
| 29.22 | 89 | 1 0 -3 |
| 29.43 | 42 | 0 0 5 |
| 29.89 | 86 | 1 1 3 |
| 30.25 | 88 | 1 -1 1 |
| 30.39 | 92 | 0 2 2 |
| 40.02 | 45 | 1 2 4 |
| 53.26 | 49 | 1 1 8 |

=====

[5]
This entry pairs a crystal structure of MnZnGa4Se8 with its computed powder X-ray diffraction pattern. Radiation: copper Kα. Structure: a crystal structure in the Materials Project, relaxed with GGA-PBE.

Structure:
```
data_MnZnGa4Se8
_space_group_name_H-M_alt 'P -4'
_space_group_IT_number 81
_space_group_name_Hall 'P -4'
_cell_length_a 5.6508
_cell_length_b 5.6508
_cell_length_c 11.0683
_cell_angle_alpha 90.00
_cell_angle_beta 90.00
_cell_angle_gamma 90.00
loop_
_atom_site_label
_atom_site_fract_x
_atom_site_fract_y
_atom_site_fract_z
Mn1 0.0000 0.0000 0.0000
Zn1 0.5000 0.5000 0.5000
Ga1 0.0000 0.0000 0.5000
Ga2 0.0000 0.5000 0.2507
Ga3 0.5000 0.5000 0.0000
Se1 0.2347 0.2588 0.6329
Se2 0.2437 0.7331 0.8660
```

Top 10 peaks for 10° ≤ 2θ ≤ 90°, sorted by position:
| two_theta | Rel. int. | (hkl) |
| --- | --- | --- |
| 17.62 | 7 | 1 0 1 |
| 27.53 | 100 | 1 1 2 |
| 45.40 | 24 | 2 2 0 |
| 45.90 | 45 | 2 0 4 |
| 53.92 | 29 | 3 1 2 |
| 54.81 | 13 | 1 1 6 |
| 66.15 | 7 | 4 0 0 |
| 73.82 | 11 | 1 3 6 |
| 84.25 | 14 | 4 2 4 |
| 85.34 | 7 | 2 2 8 |

=====

[6]
This entry pairs a crystal structure of Ge with its computed powder X-ray diffraction pattern. Radiation: copper Kα. Structure: a crystal structure in the Materials Project, relaxed with GGA-PBE.

Structure:
```
data_Ge
_space_group_name_H-M_alt 'I m -3 m'
_space_group_IT_number 229
_space_group_name_Hall '-I 4 2 3'
_cell_length_a 3.3920
_cell_length_b 3.3920
_cell_length_c 3.3920
_cell_angle_alpha 90.00
_cell_angle_beta 90.00
_cell_angle_gamma 90.00
loop_
_atom_site_label
_atom_site_fract_x
_atom_site_fract_y
_atom_site_fract_z
Ge1 0.0000 0.0000 0.0000
```

Top 4 peaks for 10° ≤ 2θ ≤ 90°, sorted by position:
| two_theta | Rel. int. | (hkl) |
| --- | --- | --- |
| 37.50 | 100 | 1 1 0 |
| 54.07 | 17 | 2 0 0 |
| 67.66 | 34 | 2 1 1 |
| 80.01 | 11 | 2 2 0 |

=====

[7]
This entry pairs a crystal structure of Sr2Mg with its computed powder X-ray diffraction pattern. Radiation: copper Kα. Structure: a crystal structure in the Materials Project, relaxed with GGA-PBE.

Structure:
```
data_Sr2Mg
_space_group_name_H-M_alt 'C 1 2/m 1'
_space_group_IT_number 12
_space_group_name_Hall '-C 2y'
_cell_length_a 14.5233
_cell_length_b 4.1412
_cell_length_c 8.7152
_cell_angle_alpha 90.00
_cell_angle_beta 105.83
_cell_angle_gamma 90.00
loop_
_atom_site_label
_atom_site_fract_x
_atom_site_fract_y
_atom_site_fract_z
Sr1 0.0231 0.0000 0.2319
Sr2 0.1843 0.5000 0.6394
Mg1 0.1740 0.5000 0.0449
```

Top 10 peaks for 10° ≤ 2θ ≤ 90°, sorted by position:
| two_theta | Rel. int. | (hkl) |
| --- | --- | --- |
| 21.19 | 19 | 0 0 2 |
| 24.04 | 35 | 1 1 -1 |
| 24.79 | 26 | 4 0 -1 |
| 27.64 | 43 | 2 0 2 |
| 28.45 | 40 | 4 0 -2 |
| 28.85 | 100 | 3 1 0 |
| 29.77 | 81 | 1 1 -2 |
| 31.05 | 20 | 2 0 -3 |
| 44.82 | 22 | 5 1 -3 |
| 49.09 | 24 | 5 1 2 |

=====

Number 5 is which compound?
MnZnGa4Se8

=====

Which formula does entry 1 have?
Na2PH11O8